Calculated X-ray powder pattern
Compound: Y2TmMg2
Radiation: copper Kα
Structure: the GGA-PBE geometry in Alexandria
Lines closer than 0.1° are merged.

```
data_Y2TmMg2
_cell_length_a 3.7413
_cell_length_b 27.7408
_cell_length_c 5.4104
_cell_angle_alpha 90.00
_cell_angle_beta 90.00
_cell_angle_gamma 90.00
_symmetry_space_group_name_H-M 'C m c m'
_symmetry_Int_Tables_number 63
_symmetry_space_group_name_Hall '-C 2c 2'
loop_
_atom_site_label
_atom_site_type_symbol
_atom_site_fract_x
_atom_site_fract_y
_atom_site_fract_z
_atom_site_occupancy
Y1 Y 0.0000 0.0450 0.2500 1
Y2 Y 0.0000 0.2369 0.2500 1
Tm1 Tm 0.0000 0.1514 0.7500 1
Mg1 Mg 0.0000 0.3595 0.7500 1
Mg2 Mg 0.0000 0.4461 0.2500 1
```

Peak list (12 most intense, 10 to 90 degrees two-theta, in order of falling intensity)
hkl 1 5 1, 33.29°, rel. 100
hkl 0 0 2, 33.12°, rel. 27
hkl 0 10 0, 32.27°, rel. 23
hkl 0 6 1, 25.34°, rel. 21
hkl 1 5 3, 59.27°, rel. 19
hkl 1 1 0, 24.00°, rel. 17
hkl 0 10 2, 46.91°, rel. 16
hkl 0 4 1, 20.82°, rel. 16
hkl 1 15 1, 58.20°, rel. 13
hkl 0 2 1, 17.60°, rel. 11
hkl 0 8 1, 30.62°, rel. 11
hkl 2 10 2, 69.91°, rel. 10